Structure and calculated powder diffraction line list of Th3Pa (a GGA-PBE-relaxed structure; λ = 1.5418 Å (Cu Kα)).

Most intense lines, 2θ = 5–70°, by angle:
two_theta, d [Å], I (rel.), (hkl)
31.43, 2.846, 100, 1 1 1
36.45, 2.465, 51, 2 0 0
52.50, 1.743, 37, 2 2 0
62.48, 1.486, 44, 3 1 1
65.60, 1.423, 13, 2 2 2

Crystal structure
```
4
Lattice="4.9299 0.0000 0.0000 0.0000 4.9299 0.0000 0.0000 0.0000 4.9299" Properties=species:S:1:pos:R:3 pbc="T T T"
Th 0.0000 0.0000 2.4649
Th 0.0000 2.4649 0.0000
Th 2.4649 0.0000 0.0000
Pa 2.4649 2.4649 2.4649
```